Record 1
The following is a simulated PXRD pattern of Ho4Te2RhS. It was derived from a DFT-relaxed cell (PBE, Alexandria), using Cu Kα X-rays.
Neutral-atom scattering factors, no anomalous dispersion.

Lattice parameters (Å, degrees): 7.2756 4.0576 7.3901 90.00 108.30 90.00
Space group P2/m (No. 10)
One atom of each set of equivalent atoms:
Ho 0.2260 0.0000 0.2048
Ho 0.2581 0.5000 0.7897
Te 0.0000 0.0000 0.5000
Te 0.5000 0.5000 0.5000
Rh 0.0000 0.5000 0.0000
S 0.5000 0.0000 0.0000

Principal peaks in the range 15 to 90 degrees two-theta, by intensity:
index	d/Å	I_rel
1 1 1	2.949	100
2 0 -2	2.972	52
3 1 -1	2.082	40
1 1 -3	2.105	30
0 2 0	2.029	19
2 2 -2	1.676	19
2 0 2	2.147	15
1 1 -2	2.701	12
4 0 0	1.727	10
2 2 2	1.475	9



Record 2
The following is a simulated PXRD pattern of Ho3Sb2Rh7. It was derived from a DFT-relaxed cell (PBE, Alexandria), using Cu Kα X-rays.
Neutral-atom scattering factors, no anomalous dispersion.

Lattice parameters (Å, degrees): 4.6713 22.7709 4.3851 90.00 90.00 90.00
Space group Cmmm (No. 65)
One atom of each set of equivalent atoms:
Ho 0.0000 0.0000 0.0000
Ho 0.0000 0.1708 0.0000
Sb 0.0000 0.3636 0.5000
Rh 0.0000 0.0818 0.5000
Rh 0.0000 0.2503 0.5000
Rh 0.0000 0.4208 0.0000
Rh 0.0000 0.5000 0.5000

Principal peaks in the range 15 to 90 degrees two-theta, by intensity:
index	d/Å	I_rel
1 7 1	2.280	100
1 5 1	2.617	76
2 0 0	2.336	59
0 0 2	2.193	49
2 0 2	1.599	36
0 6 1	2.870	23
0 8 1	2.387	21
3 7 1	1.338	18
1 3 1	2.946	17
2 12 2	1.223	16



Record 3
The following is a simulated PXRD pattern of Ho2Sc2Rh3. It was derived from a DFT-relaxed cell (PBE, Alexandria), using Cu Kα X-rays.
Neutral-atom scattering factors, no anomalous dispersion.

Lattice parameters (Å, degrees): 4.6018 4.6018 23.6391 90.00 90.00 120.00
Space group R-3m (No. 166, hexagonal axes)
One atom of each set of equivalent atoms:
Ho 0.0000 0.0000 0.1228
Sc 0.0000 0.0000 0.3728
Rh 0.0000 0.0000 0.0000
Rh 0.0000 0.0000 0.2552

Principal peaks in the range 15 to 90 degrees two-theta, by intensity:
index	d/Å	I_rel
0 1 8	2.374	100
1 1 0	2.301	94
1 0 1	3.930	56
2 0 8	1.652	35
1 2 8	1.342	33
1 0 7	2.576	21
1 0 16	1.385	16
3 0 0	1.328	16
0 2 1	1.986	12
0 2 16	1.187	10



Record 4
The following is a simulated PXRD pattern of Ho4ScRh3. It was derived from a DFT-relaxed cell (PBE, Alexandria), using Cu Kα X-rays.
Neutral-atom scattering factors, no anomalous dispersion.

Lattice parameters (Å, degrees): 10.8756 10.8756 5.9517 90.00 90.00 90.00
Space group I4/mcm (No. 140)
One atom of each set of equivalent atoms:
Ho 0.0810 0.2129 0.0000
Sc 0.0000 0.5000 0.2500
Rh 0.0000 0.0000 0.2500
Rh 0.1503 0.3497 0.5000

Principal peaks in the range 15 to 90 degrees two-theta, by intensity:
index	d/Å	I_rel
4 1 1	2.411	100
3 2 1	2.691	91
0 0 2	2.976	43
4 2 0	2.432	37
2 2 2	2.353	34
5 5 2	1.366	28
4 1 3	1.586	27
2 0 2	2.611	27
3 2 3	1.658	21
5 5 0	1.538	12



Record 5
The following is a simulated PXRD pattern of Ho3Sc2Rh2. It was derived from a DFT-relaxed cell (PBE, Alexandria), using Cu Kα X-rays.
Neutral-atom scattering factors, no anomalous dispersion.

Lattice parameters (Å, degrees): 11.6731 3.6661 8.6413 90.00 115.74 90.00
Space group C2/m (No. 12)
One atom of each set of equivalent atoms:
Ho 0.0000 0.0000 0.0000
Ho 0.1122 0.0000 0.4307
Sc 0.1689 0.5000 0.8177
Rh 0.1869 0.5000 0.2352

Principal peaks in the range 15 to 90 degrees two-theta, by intensity:
index	d/Å	I_rel
3 1 -1	2.668	100
2 0 -1	5.638	87
1 1 2	2.421	78
2 0 2	2.629	69
1 1 -3	2.235	54
1 1 0	3.462	50
3 1 -2	2.515	43
4 0 -3	2.455	39
2 0 -3	2.874	34
0 2 0	1.833	32



Record 6
The following is a simulated PXRD pattern of HoSc3Rh2. It was derived from a DFT-relaxed cell (PBE, Alexandria), using Cu Kα X-rays.
Neutral-atom scattering factors, no anomalous dispersion.

Lattice parameters (Å, degrees): 4.3457 8.3964 6.8818 90.00 90.00 90.00
Space group Pmc2_1 (No. 26)
One atom of each set of equivalent atoms:
Ho 0.0000 0.0774 0.0000
Sc 0.0000 0.3331 0.6287
Sc 0.5000 0.1864 0.3437
Sc 0.5000 0.4199 0.9685
Rh 0.0000 0.3514 0.2321
Rh 0.5000 0.1558 0.7329

Principal peaks in the range 15 to 90 degrees two-theta, by intensity:
index	d/Å	I_rel
1 1 2	2.568	100
1 2 1	2.765	59
2 0 0	2.173	43
1 3 0	2.353	39
1 1 1	3.366	38
0 2 1	3.584	32
0 3 1	2.593	25
0 2 3	2.013	23
0 2 2	2.661	22
2 2 3	1.476	20



Record 7
The following is a simulated PXRD pattern of Ho7RhSe5. It was derived from a DFT-relaxed cell (PBE, Alexandria), using Cu Kα X-rays.
Neutral-atom scattering factors, no anomalous dispersion.

Lattice parameters (Å, degrees): 3.9317 13.3686 24.3282 90.00 90.00 90.00
Space group Cmc2_1 (No. 36)
One atom of each set of equivalent atoms:
Ho 0.0000 0.0457 0.0000
Ho 0.0000 0.1331 0.7156
Ho 0.0000 0.1464 0.2900
Ho 0.0000 0.2893 0.9327
Ho 0.0000 0.3029 0.0689
Ho 0.0000 0.3978 0.6258
Ho 0.0000 0.4201 0.3639
Rh 0.0000 0.3088 0.5093
Se 0.0000 0.0505 0.6091
Se 0.0000 0.0630 0.3957
Se 0.0000 0.2143 0.8232
Se 0.0000 0.2270 0.1802
Se 0.0000 0.4909 0.7496

Principal peaks in the range 15 to 90 degrees two-theta, by intensity:
index	d/Å	I_rel
0 2 8	2.770	100
1 3 2	2.865	93
0 2 7	3.084	75
1 1 9	2.197	43
2 0 0	1.966	36
1 3 1	2.927	33
1 5 5	2.013	29
0 6 5	2.026	28
2 2 7	1.658	24
1 1 10	2.044	23



Record 8
The following is a simulated PXRD pattern of Ho4RhSe2. It was derived from a DFT-relaxed cell (PBE, Alexandria), using Cu Kα X-rays.
Neutral-atom scattering factors, no anomalous dispersion.

Lattice parameters (Å, degrees): 3.8172 13.0934 14.0909 90.00 90.00 90.00
Space group Cmcm (No. 63)
One atom of each set of equivalent atoms:
Ho 0.0000 0.0000 0.0000
Ho 0.0000 0.2948 0.1290
Ho 0.0000 0.4516 0.7500
Rh 0.0000 0.1051 0.7500
Se 0.0000 0.3579 0.5655

Principal peaks in the range 15 to 90 degrees two-theta, by intensity:
index	d/Å	I_rel
0 2 4	3.102	100
1 3 1	2.815	73
1 3 2	2.661	56
1 1 5	2.234	50
0 6 3	1.978	39
2 2 4	1.626	38
1 3 0	2.873	38
2 0 0	1.909	37
0 4 1	3.188	25
2 6 3	1.374	22



Record 9
The following is a simulated PXRD pattern of HoSi4Rh6. It was derived from a DFT-relaxed cell (PBE, Alexandria), using Cu Kα X-rays.
Neutral-atom scattering factors, no anomalous dispersion.

Lattice parameters (Å, degrees): 7.0311 7.0311 3.7677 90.00 90.00 120.00
Space group P-6m2 (No. 187)
One atom of each set of equivalent atoms:
Ho 0.0000 0.0000 0.0000
Si 0.3333 0.6667 0.0000
Si 0.3990 0.1995 0.5000
Rh 0.1975 0.3950 0.5000
Rh 0.5331 0.0661 0.0000

Principal peaks in the range 15 to 90 degrees two-theta, by intensity:
index	d/Å	I_rel
2 0 1	2.368	100
2 1 0	2.301	26
2 0 0	3.045	20
2 2 0	1.758	19
0 0 2	1.884	18
1 0 1	3.204	17
1 1 1	2.570	15
2 1 1	1.964	14
3 2 1	1.310	13
2 2 2	1.285	13



Record 10
The following is a simulated PXRD pattern of HoSi3Rh3. It was derived from a DFT-relaxed cell (PBE, Alexandria), using Cu Kα X-rays.
Neutral-atom scattering factors, no anomalous dispersion.

Lattice parameters (Å, degrees): 6.7136 6.7136 19.5917 90.00 90.00 120.00
Space group R-3 (No. 148, hexagonal axes)
One atom of each set of equivalent atoms:
Ho 0.0000 0.0000 0.1674
Si 0.0188 0.2899 0.5917
Rh 0.0233 0.3813 0.3826

Principal peaks in the range 15 to 90 degrees two-theta, by intensity:
index	d/Å	I_rel
1 1 3	2.985	100
2 -1 6	2.341	64
3 0 0	1.938	38
3 0 9	1.448	24
0 1 2	5.000	21
0 0 9	2.177	20
1 0 1	5.574	16
2 1 1	2.184	15
4 -2 3	1.626	15
2 2 6	1.493	12



Record 11
The following is a simulated PXRD pattern of Ho3Si2Rh5. It was derived from a DFT-relaxed cell (PBE, Alexandria), using Cu Kα X-rays.
Neutral-atom scattering factors, no anomalous dispersion.

Lattice parameters (Å, degrees): 9.9428 9.9428 3.5315 90.00 90.00 90.00
Space group P4/mbm (No. 127)
One atom of each set of equivalent atoms:
Ho 0.0000 0.0000 0.0000
Ho 0.1737 0.3263 0.0000
Si 0.1231 0.6231 0.0000
Rh 0.0000 0.5000 0.5000
Rh 0.0702 0.7788 0.5000

Principal peaks in the range 15 to 90 degrees two-theta, by intensity:
index	d/Å	I_rel
3 1 1	2.348	100
2 1 1	2.765	58
4 1 0	2.411	49
2 2 1	2.491	37
4 2 0	2.223	30
3 2 1	2.173	21
0 0 2	1.766	19
4 1 2	1.425	19
6 0 1	1.500	17
5 4 1	1.421	14



Record 12
The following is a simulated PXRD pattern of Ho4SiRh3. It was derived from a DFT-relaxed cell (PBE, Alexandria), using Cu Kα X-rays.
Neutral-atom scattering factors, no anomalous dispersion.

Lattice parameters (Å, degrees): 3.8566 4.1733 10.5725 90.00 90.00 90.00
Space group Pmm2 (No. 25)
One atom of each set of equivalent atoms:
Ho 0.0000 0.0000 0.0000
Ho 0.0000 0.5000 0.2778
Ho 0.5000 0.0000 0.4912
Ho 0.5000 0.5000 0.7818
Si 0.0000 0.0000 0.7071
Rh 0.0000 0.5000 0.5696
Rh 0.5000 0.0000 0.2243
Rh 0.5000 0.5000 0.0491

Principal peaks in the range 15 to 90 degrees two-theta, by intensity:
index	d/Å	I_rel
1 1 1	2.736	100
1 1 3	2.208	47
1 0 3	2.602	35
0 0 4	2.643	27
0 2 0	2.087	25
0 1 2	3.276	21
0 1 4	2.233	20
2 0 0	1.928	20
1 2 3	1.628	17
2 2 0	1.416	14



What is the formula in the eleventh record? Ho3Si2Rh5